1.
Calculated powder XRD pattern of Hf2Cr3Si for Cu Kα (weighted mean of Kα1 and Kα2), from a PBE-relaxed structure.

Largest 10 diffraction maxima, in order of rising 2θ, 5 to 70 degrees two-theta:
- (1 0 0), 20.55°, intensity 34
- (1 0 1), 23.22°, intensity 14
- (1 0 2), 29.91°, intensity 23
- (1 1 0), 35.99°, intensity 59
- (1 0 3), 38.75°, intensity 100
- (2 0 0), 41.80°, intensity 19
- (1 1 2), 42.30°, intensity 75
- (2 0 1), 43.27°, intensity 43
- (2 1 3), 66.53°, intensity 38
- (3 0 2), 69.03°, intensity 17

Atomic structure:
a b c (Å): 4.9910 4.9910 8.2691
angles (deg): 90.00 90.00 120.00
Space group P6_3/mmc (No. 194)
Asymmetric unit:
Hf (0.3333, 0.6667, 0.0634)
Cr (0.1725, 0.3450, 0.7500)
Si (0.0000, 0.0000, 0.0000)


2.
Calculated powder XRD pattern of Al2O3 for Cu Kα (weighted mean of Kα1 and Kα2), from a PBE-relaxed structure.

Largest 6 diffraction maxima, in order of rising 2θ, 5 to 70 degrees two-theta:
- (1 1 0), 27.34°, intensity 27
- (1 1 1), 33.65°, intensity 98
- (2 1 1), 48.32°, intensity 8
- (2 2 0), 56.41°, intensity 100
- (3 1 0), 63.79°, intensity 3
- (3 1 1), 67.31°, intensity 37

Atomic structure:
a b c (Å): 4.614 4.614 4.614
angles (deg): 90.00 90.00 90.00
Space group Pn-3m (No. 224, origin choice 2)
Asymmetric unit:
Al (0.000, 0.000, 0.000)
O (0.250, 0.250, 0.750)


3.
Calculated powder XRD pattern of Ni3Bi2S2 for Cu Kα (weighted mean of Kα1 and Kα2), from a PBE-relaxed structure.

Largest 10 diffraction maxima, in order of rising 2θ, 5 to 70 degrees two-theta:
- (0 1 2), 22.16°, intensity 98
- (1 1 0), 30.73°, intensity 100
- (1 0 4), 32.34°, intensity 84
- (2 0 2), 38.22°, intensity 98
- (0 0 6), 40.86°, intensity 29
- (0 2 4), 45.21°, intensity 89
- (1 2 2), 49.82°, intensity 27
- (1 1 6), 51.98°, intensity 27
- (2 1 4), 55.67°, intensity 37
- (2 2 0), 64.01°, intensity 32

Atomic structure:
a b c (Å): 5.8185 5.8185 13.2525
angles (deg): 90.00 90.00 120.00
Space group R-3m (No. 166, hexagonal axes)
Asymmetric unit:
Ni (0.0000, 0.5000, 0.0000)
Bi (0.0000, 0.0000, 0.0000)
Bi (0.0000, 0.0000, 0.5000)
S (0.0000, 0.0000, 0.2283)


4.
Calculated powder XRD pattern of BaSiB for Cu Kα (weighted mean of Kα1 and Kα2), from a PBE-relaxed structure.

Largest 9 diffraction maxima, in order of rising 2θ, 5 to 70 degrees two-theta:
- (1 1 1), 22.63°, intensity 100
- (2 0 0), 26.19°, intensity 41
- (2 2 0), 37.37°, intensity 73
- (3 1 1), 44.13°, intensity 52
- (2 2 2), 46.20°, intensity 11
- (4 0 0), 53.88°, intensity 12
- (3 3 1), 59.17°, intensity 22
- (4 2 0), 60.87°, intensity 15
- (4 2 2), 67.40°, intensity 25

Atomic structure:
a b c (Å): 6.807 6.807 6.807
angles (deg): 90.00 90.00 90.00
Space group F-43m (No. 216)
Asymmetric unit:
Ba (0.000, 0.000, 0.000)
Si (0.250, 0.250, 0.750)
B (0.000, 0.000, 0.500)


5.
Calculated powder XRD pattern of La2MgSe4 for Cu Kα (weighted mean of Kα1 and Kα2), from a PBE-relaxed structure.

Largest 10 diffraction maxima, in order of rising 2θ, 5 to 70 degrees two-theta:
- (1 0 1), 14.02°, intensity 32
- (1 1 1), 17.32°, intensity 57
- (3 0 1), 21.98°, intensity 30
- (1 2 1), 24.76°, intensity 35
- (2 2 1), 26.88°, intensity 71
- (4 0 1), 27.15°, intensity 39
- (2 2 2), 35.05°, intensity 100
- (4 0 2), 35.26°, intensity 40
- (0 4 0), 41.29°, intensity 32
- (6 2 0), 41.84°, intensity 53

Atomic structure:
a b c (Å): 14.896 8.746 6.974
angles (deg): 90.00 90.00 90.00
Space group Pnma (No. 62)
Asymmetric unit:
La (0.000, 0.000, 0.000)
La (0.232, 0.250, 0.499)
Mg (0.093, 0.750, 0.582)
Se (0.066, 0.250, 0.258)
Se (0.093, 0.750, 0.216)
Se (0.168, 0.518, 0.751)


6.
Calculated powder XRD pattern of Rb2Ca5N4 for Cu Kα (weighted mean of Kα1 and Kα2), from a PBE-relaxed structure.

Largest 10 diffraction maxima, in order of rising 2θ, 5 to 70 degrees two-theta:
- (2 0 0), 22.41°, intensity 18
- (2 0 2), 24.64°, intensity 15
- (2 1 1), 25.61°, intensity 32
- (2 1 3), 29.46°, intensity 100
- (2 0 4), 30.42°, intensity 16
- (0 0 6), 30.66°, intensity 45
- (3 1 0), 35.78°, intensity 38
- (2 1 7), 44.34°, intensity 26
- (3 1 6), 47.82°, intensity 25
- (4 1 3), 49.89°, intensity 20

Atomic structure:
a b c (Å): 7.936 7.936 17.494
angles (deg): 90.00 90.00 90.00
Space group P4/ncc (No. 130, origin choice 2)
Asymmetric unit:
Rb (0.074, 0.574, 0.250)
Ca (0.079, 0.634, 0.564)
Ca (0.250, 0.250, 0.085)
N (0.052, 0.635, 0.421)


7.
Calculated powder XRD pattern of Ti2CuTc for Cu Kα (weighted mean of Kα1 and Kα2), from a PBE-relaxed structure.

Largest 8 diffraction maxima, in order of rising 2θ, 5 to 70 degrees two-theta:
- (1 1 1), 24.96°, intensity 4
- (2 0 0), 28.90°, intensity 11
- (2 2 0), 41.33°, intensity 100
- (3 1 1), 48.89°, intensity 2
- (2 2 2), 51.22°, intensity 3
- (4 0 0), 59.88°, intensity 16
- (3 3 1), 65.89°, intensity 1
- (4 2 0), 67.83°, intensity 4

Atomic structure:
a b c (Å): 6.179 6.179 6.179
angles (deg): 90.00 90.00 90.00
Space group Fm-3m (No. 225)
Asymmetric unit:
Ti (0.250, 0.250, 0.250)
Cu (0.000, 0.000, 0.000)
Tc (0.000, 0.000, 0.500)


8.
Calculated powder XRD pattern of K5Na3Nb8O24 for Cu Kα (weighted mean of Kα1 and Kα2), from a PBE-relaxed structure.

Largest 8 diffraction maxima, in order of rising 2θ, 5 to 70 degrees two-theta:
- (2 0 0), 22.00°, intensity 59
- (2 0 1), 24.64°, intensity 1
- (2 2 0), 31.31°, intensity 100
- (4 0 0), 44.87°, intensity 43
- (4 2 0), 50.52°, intensity 24
- (4 2 2), 55.74°, intensity 38
- (4 4 0), 65.33°, intensity 24
- (6 0 0), 69.85°, intensity 11

Atomic structure:
a b c (Å): 8.080 8.080 8.080
angles (deg): 90.00 90.00 90.00
Space group P4/mmm (No. 123)
Asymmetric unit:
K (0.000, 0.000, 0.000)
K (0.000, 0.000, 0.500)
K (0.000, 0.500, 0.000)
K (0.500, 0.500, 0.000)
Na (0.000, 0.500, 0.500)
Na (0.500, 0.500, 0.500)
Nb (0.251, 0.251, 0.252)
O (0.000, 0.252, 0.253)
O (0.250, 0.250, 0.000)
O (0.250, 0.500, 0.254)
O (0.252, 0.252, 0.500)


9.
Calculated powder XRD pattern of LiEuS2 for Cu Kα (weighted mean of Kα1 and Kα2), from a PBE-relaxed structure.

Largest 10 diffraction maxima, in order of rising 2θ, 5 to 70 degrees two-theta:
- (0 0 1), 16.19°, intensity 100
- (1 0 0), 22.23°, intensity 97
- (1 0 1), 27.63°, intensity 42
- (1 1 0), 31.65°, intensity 95
- (0 0 2), 32.71°, intensity 43
- (1 1 1), 35.74°, intensity 59
- (1 0 2), 39.91°, intensity 43
- (2 0 0), 45.37°, intensity 34
- (1 1 2), 46.16°, intensity 64
- (2 0 2), 57.05°, intensity 33

Atomic structure:
a b c (Å): 3.998 3.998 5.475
angles (deg): 90.00 90.00 90.00
Space group P4/mmm (No. 123)
Asymmetric unit:
Li (0.000, 0.000, 0.000)
Eu (0.500, 0.500, 0.500)
S (0.000, 0.000, 0.500)
S (0.500, 0.500, 0.000)